Starting from a PBE-relaxed structure, the X-ray diffraction stick pattern of RbMo6Se7 was simulated for Cu Kα, 1.54184 Å.
Lines closer than 0.1° are merged.

Most intense lines, 5 to 70 degrees two-theta, in order of rising 2θ:
- 11.06°, I 100, hkl 1 0 1
- 28.22°, I 21, hkl 2 -1 6
- 31.77°, I 11, hkl 3 0 0
- 33.34°, I 13, hkl 1 2 5
- 37.70°, I 8, hkl 1 0 10
- 38.60°, I 13, hkl 1 3 1
- 41.16°, I 10, hkl 1 3 4
- 42.65°, I 10, hkl 4 -1 5
- 43.02°, I 42, hkl 4 -2 6
- 43.66°, I 12, hkl 0 0 12
- 50.53°, I 14, hkl 2 3 5
- 53.87°, I 8, hkl 5 -2 7

Crystal structure
```
data_RbMo6Se7
_cell_length_a 9.7567
_cell_length_b 9.7567
_cell_length_c 24.8764
_cell_angle_alpha 90.00
_cell_angle_beta 90.00
_cell_angle_gamma 120.00
_space_group_name_H-M_alt 'R -3'
_space_group_IT_number 148
_space_group_name_Hall '-R 3'
loop_
_atom_site_label
_atom_site_fract_x
_atom_site_fract_y
_atom_site_fract_z
Rb1 0.0000 0.0000 0.1314
Mo1 0.0158 0.8493 0.5447
Mo2 0.0219 0.8542 0.3618
Se1 0.0000 0.0000 0.2804
Se2 0.0054 0.6282 0.2970
Se3 0.0098 0.6354 0.1193
```